LiMn2B2O6: computed powder diffraction line list (Cu Kα (λ = 1.5418 Å)), based on a PBE+U-relaxed structure.
Peak positions follow from Bragg's law for the DFT cell and can differ from measured ones.

Atomic structure:
abc: 5.2945 5.7937 17.9474
angles: 83.84 82.20 66.09
Atoms (fractional coordinates):
Li 0.0000 0.0000 0.0000
Li 0.0033 0.4993 0.5012
Li 0.4984 0.2521 0.7508
Li 0.6422 0.0537 0.2814
Mn 0.0385 0.2536 0.6686
Mn 0.0472 0.7413 0.1726
Mn 0.1058 0.5584 0.8628
Mn 0.1123 0.0446 0.3661
Mn 0.5396 0.0058 0.9174
Mn 0.5400 0.4994 0.4170
Mn 0.6069 0.8095 0.6110
Mn 0.6135 0.3061 0.1119
B 0.0209 0.5883 0.3354
B 0.0301 0.0905 0.8299
B 0.1235 0.2112 0.2026
B 0.1255 0.7121 0.6962
B 0.5246 0.8453 0.0786
B 0.5295 0.3371 0.5805
B 0.6273 0.4622 0.9463
B 0.6327 0.9580 0.4449
O 0.1710 0.8995 0.6458
O 0.1724 0.3856 0.1482
O 0.2254 0.6625 0.3487
O 0.2549 0.1509 0.8350
O 0.2722 0.1328 0.2624
O 0.2718 0.6142 0.7558
O 0.3756 0.9330 0.0171
O 0.3817 0.4073 0.5193
O 0.4391 0.3690 0.9274
O 0.4390 0.6962 0.1339
O 0.4416 0.8643 0.4297
O 0.4509 0.1998 0.6424
O 0.6718 0.6500 0.8961
O 0.6736 0.1363 0.3882
O 0.7452 0.9077 0.0888
O 0.7505 0.4040 0.5860
O 0.7777 0.3630 0.0053
O 0.7848 0.8680 0.5034
O 0.8703 0.6840 0.2747
O 0.8761 0.1716 0.7695
O 0.9225 0.1168 0.1911
O 0.9389 0.6180 0.6765
O 0.9491 0.9535 0.8912
O 0.9521 0.4301 0.3928

Peak list (8 most intense, 2θ = 10–90°, low angle first)
| 2θ (°) | intensity | index |
| --- | --- | --- |
| 20.02 | 1000 | 0 0 4 |
| 20.74 | 226 | 1 1 -1 |
| 21.87 | 467 | 1 0 -2 |
| 22.75 | 641 | 1 1 3 |
| 33.92 | 498 | 1 0 6 |
| 34.84 | 624 | 0 2 2 |
| 37.25 | 226 | 1 0 -6 |
| 40.79 | 260 | 2 0 4 |

LiMn2B2O6: computed powder diffraction line list (Cu Kα (λ = 1.5418 Å)), based on a PBE+U-relaxed structure.
Peak positions follow from Bragg's law for the DFT cell and can differ from measured ones.

Atomic structure:
abc: 5.2801 5.7910 20.4866
angles: 86.74 82.78 89.52
Atoms (fractional coordinates):
Li 0.0000 0.0000 0.0000
Li 0.0220 0.4267 0.6159
Li 0.2212 0.2260 0.2139
Li 0.4169 0.0238 0.8143
Li 0.6220 0.8263 0.4161
Mn 0.1038 0.5949 0.7393
Mn 0.1175 0.6252 0.4748
Mn 0.3057 0.3952 0.3384
Mn 0.3257 0.4361 0.0718
Mn 0.5183 0.2152 0.9345
Mn 0.5177 0.2253 0.6750
Mn 0.7050 0.9971 0.5388
Mn 0.7156 0.0186 0.2753
Mn 0.8972 0.7851 0.1385
Mn 0.9087 0.8174 0.8769
B 0.0550 0.3232 0.8706
B 0.1619 0.8893 0.3418
B 0.2509 0.1254 0.4686
B 0.3652 0.7015 0.9398
B 0.4550 0.9365 0.0657
B 0.5619 0.4911 0.5419
B 0.6509 0.7252 0.6688
B 0.7657 0.2876 0.1437
B 0.8510 0.5203 0.2684
B 0.9622 0.0890 0.7419
O 0.0825 0.9316 0.7833
O 0.0861 0.9509 0.4991
O 0.1039 0.7254 0.9488
O 0.1062 0.4975 0.2618
O 0.1124 0.2411 0.6993
O 0.1344 0.3193 0.4395
O 0.2868 0.7331 0.3828
O 0.2951 0.7608 0.0967
O 0.3000 0.4967 0.5485
O 0.3094 0.3036 0.8597
O 0.3109 0.0405 0.2988
O 0.3241 0.1200 0.0338
O 0.4756 0.5340 0.9779
O 0.4860 0.5510 0.6994
O 0.5038 0.2977 0.1460
O 0.5059 0.1009 0.4622
O 0.5168 0.8536 0.8968
O 0.5349 0.9193 0.6397
O 0.6852 0.3341 0.5829
O 0.6868 0.3455 0.2986
O 0.6999 0.0967 0.7486
O 0.7105 0.9318 0.0613
O 0.7123 0.6422 0.4992
O 0.7317 0.7130 0.2398
O 0.8797 0.1170 0.1827
O 0.9001 0.8929 0.3487
O 0.9047 0.1486 0.9087
O 0.9059 0.7002 0.6625
O 0.9281 0.5087 0.8414
O 0.9290 0.4446 0.1078

Peak list (8 most intense, 2θ = 10–90°, low angle first)
| 2θ (°) | intensity | index |
| --- | --- | --- |
| 20.08 | 1000 | 1 0 3 |
| 21.90 | 490 | 0 0 5 |
| 22.89 | 649 | 1 1 0 |
| 33.96 | 522 | 2 0 1 |
| 34.85 | 654 | 0 2 4 |
| 37.40 | 229 | 1 0 8 |
| 39.60 | 229 | 0 1 -8 |
| 40.70 | 277 | 2 0 -4 |

What did the first record say?
LiMn2B2O6: computed powder diffraction line list (Cu Kα (λ = 1.5418 Å)), based on a PBE+U-relaxed structure.
Peak positions follow from Bragg's law for the DFT cell and can differ from measured ones.

Atomic structure:
abc: 5.2945 5.7937 17.9474
angles: 83.84 82.20 66.09
Atoms (fractional coordinates):
Li 0.0000 0.0000 0.0000
Li 0.0033 0.4993 0.5012
Li 0.4984 0.2521 0.7508
Li 0.6422 0.0537 0.2814
Mn 0.0385 0.2536 0.6686
Mn 0.0472 0.7413 0.1726
Mn 0.1058 0.5584 0.8628
Mn 0.1123 0.0446 0.3661
Mn 0.5396 0.0058 0.9174
Mn 0.5400 0.4994 0.4170
Mn 0.6069 0.8095 0.6110
Mn 0.6135 0.3061 0.1119
B 0.0209 0.5883 0.3354
B 0.0301 0.0905 0.8299
B 0.1235 0.2112 0.2026
B 0.1255 0.7121 0.6962
B 0.5246 0.8453 0.0786
B 0.5295 0.3371 0.5805
B 0.6273 0.4622 0.9463
B 0.6327 0.9580 0.4449
O 0.1710 0.8995 0.6458
O 0.1724 0.3856 0.1482
O 0.2254 0.6625 0.3487
O 0.2549 0.1509 0.8350
O 0.2722 0.1328 0.2624
O 0.2718 0.6142 0.7558
O 0.3756 0.9330 0.0171
O 0.3817 0.4073 0.5193
O 0.4391 0.3690 0.9274
O 0.4390 0.6962 0.1339
O 0.4416 0.8643 0.4297
O 0.4509 0.1998 0.6424
O 0.6718 0.6500 0.8961
O 0.6736 0.1363 0.3882
O 0.7452 0.9077 0.0888
O 0.7505 0.4040 0.5860
O 0.7777 0.3630 0.0053
O 0.7848 0.8680 0.5034
O 0.8703 0.6840 0.2747
O 0.8761 0.1716 0.7695
O 0.9225 0.1168 0.1911
O 0.9389 0.6180 0.6765
O 0.9491 0.9535 0.8912
O 0.9521 0.4301 0.3928

Peak list (8 most intense, 2θ = 10–90°, low angle first)
| 2θ (°) | intensity | index |
| --- | --- | --- |
| 20.02 | 1000 | 0 0 4 |
| 20.74 | 226 | 1 1 -1 |
| 21.87 | 467 | 1 0 -2 |
| 22.75 | 641 | 1 1 3 |
| 33.92 | 498 | 1 0 6 |
| 34.84 | 624 | 0 2 2 |
| 37.25 | 226 | 1 0 -6 |
| 40.79 | 260 | 2 0 4 |